[1]
This entry pairs a crystal structure of Rb3ClO with its computed powder XRD pattern. Radiation: Cu Kα. Structure: a cell relaxed with PBE.
No peak broadening, texture or thermal motion is included.

Largest 10 diffraction maxima, low angle first, 2θ from 10° to 90°:
Position (°2θ)	I (rel.)
16.02	16
27.93	100
32.36	64
36.30	9
46.41	44
55.04	43
57.71	15
74.78	18
77.08	19
86.08	15

Structural model:
```
Rb3ClO
1.0
5.534 0.000 0.000
0.000 5.534 0.000
0.000 0.000 5.534
Rb Cl O
3 1 1
Direct
0.000 0.000 0.500 Rb
0.000 0.500 0.000 Rb
0.500 0.000 0.000 Rb
0.500 0.500 0.500 Cl
0.000 0.000 0.000 O
```

[2]
This entry pairs a crystal structure of Rb4Cl2O with its computed powder XRD pattern. Radiation: Cu Kα. Structure: a cell relaxed with PBE.
No peak broadening, texture or thermal motion is included.

Largest 10 diffraction maxima, low angle first, 2θ from 10° to 90°:
Position (°2θ)	I (rel.)
22.96	22
25.74	29
26.99	45
27.67	73
29.97	31
30.25	100
33.78	98
48.10	42
49.57	23
57.12	30

Structural model:
```
Rb4Cl2O
1.0
-4.672 4.672 5.153
4.672 -4.672 5.153
4.672 4.672 -5.153
Rb Cl O
8 4 2
Direct
0.082 0.236 0.719 Rb
0.113 0.767 0.781 Rb
0.233 0.014 0.346 Rb
0.517 0.363 0.281 Rb
0.637 0.918 0.154 Rb
0.668 0.887 0.654 Rb
0.764 0.483 0.846 Rb
0.986 0.332 0.219 Rb
0.267 0.625 0.142 Cl
0.375 0.517 0.642 Cl
0.483 0.125 0.858 Cl
0.875 0.733 0.358 Cl
0.000 0.000 0.000 O
0.750 0.250 0.500 O
```

[3]
This entry pairs a crystal structure of Rb3ClO with its computed powder XRD pattern. Radiation: Cu Kα. Structure: a cell relaxed with PBE.
No peak broadening, texture or thermal motion is included.

Largest 10 diffraction maxima, low angle first, 2θ from 10° to 90°:
Position (°2θ)	I (rel.)
13.94	21
26.96	27
27.10	58
28.10	77
29.90	100
32.27	67
45.64	24
46.92	44
49.66	24
55.02	47

Structural model:
```
Rb3ClO
1.0
7.746 0.000 0.000
-3.873 6.708 0.000
0.000 0.000 19.741
Rb Cl O
18 6 6
Direct
0.028 0.514 0.250 Rb
0.166 0.331 0.082 Rb
0.166 0.331 0.418 Rb
0.166 0.834 0.082 Rb
0.166 0.834 0.418 Rb
0.331 0.166 0.582 Rb
0.331 0.166 0.918 Rb
0.486 0.514 0.250 Rb
0.486 0.972 0.250 Rb
0.514 0.028 0.750 Rb
0.514 0.486 0.750 Rb
0.669 0.834 0.082 Rb
0.669 0.834 0.418 Rb
0.834 0.166 0.582 Rb
0.834 0.166 0.918 Rb
0.834 0.669 0.582 Rb
0.834 0.669 0.918 Rb
0.972 0.486 0.750 Rb
0.000 0.000 0.250 Cl
0.000 0.000 0.750 Cl
0.333 0.667 0.589 Cl
0.333 0.667 0.911 Cl
0.667 0.333 0.089 Cl
0.667 0.333 0.411 Cl
0.000 0.000 0.000 O
0.000 0.000 0.500 O
0.333 0.667 0.160 O
0.333 0.667 0.340 O
0.667 0.333 0.660 O
0.667 0.333 0.840 O
```

[4]
This entry pairs a crystal structure of RbZnSClO4 with its computed powder XRD pattern. Radiation: Cu Kα. Structure: a cell relaxed with PBE.
No peak broadening, texture or thermal motion is included.

Largest 10 diffraction maxima, low angle first, 2θ from 10° to 90°:
Position (°2θ)	I (rel.)
12.07	38
23.69	91
26.94	100
27.10	74
27.84	84
28.95	35
29.26	38
29.90	55
33.05	33
47.49	33

Structural model:
```
RbZnSClO4
1.0
7.368 0.000 0.000
0.000 9.819 0.000
-0.843 0.000 8.459
Rb Zn S Cl O
4 4 4 4 16
Direct
0.137 0.081 0.301 Rb
0.137 0.419 0.801 Rb
0.863 0.581 0.199 Rb
0.863 0.919 0.699 Rb
0.406 0.696 0.456 Zn
0.406 0.804 0.956 Zn
0.594 0.196 0.044 Zn
0.594 0.304 0.544 Zn
0.395 0.071 0.734 S
0.395 0.429 0.234 S
0.605 0.571 0.766 S
0.605 0.929 0.266 S
0.127 0.683 0.529 Cl
0.127 0.817 0.029 Cl
0.873 0.183 0.971 Cl
0.873 0.317 0.471 Cl
0.213 0.064 0.650 O
0.213 0.436 0.150 O
0.388 0.161 0.877 O
0.388 0.339 0.377 O
0.467 0.567 0.286 O
0.467 0.624 0.869 O
0.467 0.876 0.369 O
0.467 0.933 0.786 O
0.533 0.067 0.214 O
0.533 0.124 0.631 O
0.533 0.376 0.131 O
0.533 0.433 0.714 O
0.612 0.661 0.623 O
0.612 0.839 0.123 O
0.787 0.564 0.850 O
0.787 0.936 0.350 O
```

[5]
This entry pairs a crystal structure of RbYSeCl2O3 with its computed powder XRD pattern. Radiation: Cu Kα. Structure: a cell relaxed with PBE.
No peak broadening, texture or thermal motion is included.

Largest 10 diffraction maxima, low angle first, 2θ from 10° to 90°:
Position (°2θ)	I (rel.)
10.35	100
20.79	25
21.72	28
22.69	25
25.39	77
25.98	35
29.39	42
30.27	45
30.80	19
31.40	32

Structural model:
```
RbYSeCl2O3
1.0
6.676 0.000 0.000
0.133 7.097 0.000
2.362 1.296 8.544
Rb Y Se Cl O
2 2 2 4 6
Direct
0.235 0.216 0.385 Rb
0.765 0.784 0.615 Rb
0.141 0.753 0.981 Y
0.859 0.247 0.019 Y
0.367 0.261 0.912 Se
0.633 0.739 0.088 Se
0.109 0.693 0.287 Cl
0.243 0.824 0.668 Cl
0.757 0.176 0.332 Cl
0.891 0.307 0.713 Cl
0.181 0.077 0.984 O
0.183 0.430 0.973 O
0.497 0.758 0.949 O
0.503 0.242 0.051 O
0.817 0.570 0.027 O
0.819 0.923 0.016 O
```

[6]
This entry pairs a crystal structure of Rb2U2Cl4O7 with its computed powder XRD pattern. Radiation: Cu Kα. Structure: a cell relaxed with PBE.
No peak broadening, texture or thermal motion is included.

Largest 10 diffraction maxima, low angle first, 2θ from 10° to 90°:
Position (°2θ)	I (rel.)
11.12	100
11.27	75
14.91	77
20.37	33
22.84	76
23.24	37
25.91	34
26.26	33
28.46	36
29.59	28

Structural model:
```
Rb2U2Cl4O7
1.0
8.734 0.000 0.000
0.000 8.656 0.000
-7.631 0.000 20.188
Rb U Cl O
8 8 16 28
Direct
0.072 0.242 0.438 Rb
0.072 0.258 0.938 Rb
0.300 0.051 0.746 Rb
0.300 0.449 0.246 Rb
0.700 0.551 0.754 Rb
0.700 0.949 0.254 Rb
0.928 0.742 0.062 Rb
0.928 0.758 0.562 Rb
0.216 0.702 0.871 U
0.216 0.798 0.371 U
0.436 0.615 0.061 U
0.436 0.885 0.561 U
0.564 0.115 0.439 U
0.564 0.385 0.939 U
0.784 0.202 0.629 U
0.784 0.298 0.129 U
0.019 0.737 0.246 Cl
0.019 0.763 0.746 Cl
0.203 0.655 0.485 Cl
0.203 0.845 0.985 Cl
0.344 0.731 0.653 Cl
0.344 0.769 0.153 Cl
0.375 0.512 0.812 Cl
0.375 0.988 0.312 Cl
0.625 0.012 0.688 Cl
0.625 0.488 0.188 Cl
0.656 0.231 0.847 Cl
0.656 0.269 0.347 Cl
0.797 0.155 0.015 Cl
0.797 0.345 0.515 Cl
0.981 0.237 0.254 Cl
0.981 0.263 0.754 Cl
0.065 0.559 0.874 O
0.065 0.941 0.374 O
0.075 0.083 0.141 O
0.075 0.417 0.641 O
0.200 0.137 0.135 O
0.200 0.363 0.635 O
0.266 0.017 0.551 O
0.266 0.483 0.051 O
0.343 0.638 0.363 O
0.343 0.862 0.863 O
0.397 0.250 0.427 O
0.397 0.250 0.927 O
0.402 0.587 0.952 O
0.402 0.913 0.452 O
0.598 0.087 0.548 O
0.598 0.413 0.048 O
0.603 0.750 0.073 O
0.603 0.750 0.573 O
0.657 0.138 0.137 O
0.657 0.362 0.637 O
0.734 0.517 0.949 O
0.734 0.983 0.449 O
0.800 0.637 0.365 O
0.800 0.863 0.865 O
0.925 0.583 0.359 O
0.925 0.917 0.859 O
0.935 0.059 0.626 O
0.935 0.441 0.126 O
```

[7]
This entry pairs a crystal structure of ReCl4O2 with its computed powder XRD pattern. Radiation: Cu Kα. Structure: a cell relaxed with PBE.
No peak broadening, texture or thermal motion is included.

Largest 10 diffraction maxima, low angle first, 2θ from 10° to 90°:
Position (°2θ)	I (rel.)
14.72	56
17.05	100
17.29	15
17.43	33
18.94	82
22.89	31
27.08	17
31.42	21
31.82	20
36.05	18

Structural model:
```
ReCl4O2
1.0
11.537 0.000 0.000
0.000 5.669 0.000
0.000 0.000 12.033
Re Cl O
4 16 8
Direct
0.140 0.062 0.000 Re
0.360 0.562 0.500 Re
0.640 0.438 0.000 Re
0.860 0.938 0.500 Re
0.011 0.238 0.149 Cl
0.035 0.265 0.864 Cl
0.220 0.834 0.868 Cl
0.243 0.866 0.136 Cl
0.257 0.366 0.636 Cl
0.280 0.334 0.368 Cl
0.465 0.765 0.364 Cl
0.489 0.738 0.649 Cl
0.511 0.262 0.149 Cl
0.535 0.235 0.864 Cl
0.720 0.666 0.868 Cl
0.743 0.634 0.136 Cl
0.757 0.134 0.636 Cl
0.780 0.166 0.368 Cl
0.965 0.735 0.364 Cl
0.989 0.762 0.649 Cl
0.008 0.903 0.037 O
0.225 0.313 0.019 O
0.275 0.813 0.519 O
0.492 0.403 0.537 O
0.508 0.597 0.037 O
0.725 0.187 0.019 O
0.775 0.687 0.519 O
0.992 0.097 0.537 O
```

[8]
This entry pairs a crystal structure of ReCl3O3 with its computed powder XRD pattern. Radiation: Cu Kα. Structure: a cell relaxed with PBE.
No peak broadening, texture or thermal motion is included.

Largest 10 diffraction maxima, low angle first, 2θ from 10° to 90°:
Position (°2θ)	I (rel.)
14.98	53
16.44	70
17.52	100
19.92	30
20.36	23
21.44	45
21.60	44
22.49	22
27.20	36
34.39	26

Structural model:
```
ReCl3O3
1.0
5.533 0.000 0.000
-0.737 6.539 0.000
-1.826 -1.764 10.132
Re Cl O
2 6 6
Direct
0.071 0.188 0.312 Re
0.929 0.812 0.688 Re
0.153 0.128 0.770 Cl
0.193 0.715 0.915 Cl
0.320 0.493 0.299 Cl
0.680 0.507 0.701 Cl
0.807 0.285 0.085 Cl
0.847 0.872 0.230 Cl
0.130 0.691 0.604 O
0.182 0.158 0.140 O
0.284 0.114 0.430 O
0.716 0.886 0.570 O
0.818 0.842 0.860 O
0.870 0.309 0.396 O
```

[9]
This entry pairs a crystal structure of ReClO3 with its computed powder XRD pattern. Radiation: Cu Kα. Structure: a cell relaxed with PBE.
No peak broadening, texture or thermal motion is included.

Largest 10 diffraction maxima, low angle first, 2θ from 10° to 90°:
Position (°2θ)	I (rel.)
17.88	100
18.99	97
19.69	92
20.27	51
22.35	89
26.20	85
27.49	99
29.49	38
36.18	32
37.06	32

Structural model:
```
ReClO3
1.0
5.891 0.000 0.000
0.000 9.345 0.000
-5.093 0.000 7.955
Re Cl O
4 4 12
Direct
0.075 0.227 0.274 Re
0.075 0.273 0.774 Re
0.925 0.727 0.226 Re
0.925 0.773 0.726 Re
0.330 0.081 0.231 Cl
0.330 0.419 0.731 Cl
0.670 0.581 0.269 Cl
0.670 0.919 0.769 Cl
0.071 0.170 0.447 O
0.071 0.330 0.947 O
0.202 0.101 0.813 O
0.202 0.399 0.313 O
0.253 0.732 0.397 O
0.253 0.768 0.897 O
0.747 0.232 0.103 O
0.747 0.268 0.603 O
0.798 0.601 0.687 O
0.798 0.899 0.187 O
0.929 0.670 0.053 O
0.929 0.830 0.553 O
```